(1)
Starting from a DFT-relaxed cell (PBE, Alexandria), the powder diffractogram of V6C5 was simulated for Cu Kα X-rays.
No peak broadening, texture or thermal motion is included.

Cell and atoms:
abc: 5.1038 5.1038 14.3817
angles: 90.00 90.00 120.00
Space group P3_112 (No. 151)
Inequivalent atoms, fractional coordinates:
V 0.0841 0.1959 0.4186 x6
V 0.0866 0.5312 0.7568 x6
V 0.4439 0.1947 0.2489 x6
C 0.1128 0.2256 0.6667 x3
C 0.1138 0.2277 0.1667 x3
C 0.1174 0.5587 0.5000 x3
C 0.4419 0.2209 0.0000 x3
C 0.4450 0.2225 0.5000 x3

Most intense lines, 15 to 90 degrees two-theta, low angle first:
2theta  Rel. int.  index
21.0  46  1 0 1
37.4  805  1 1 2
37.5  273  0 0 6
43.5  1000  2 -1 4
63.1  260  3 0 0
63.3  274  1 1 8
75.8  225  3 0 6
75.9  87  2 -1 10
79.7  117  2 2 4
80.1  43  0 0 12

***

(2)
Starting from a DFT-relaxed cell (PBE, Alexandria), the powder diffractogram of Li3B8C8 was simulated for Cu Kα X-rays.
No peak broadening, texture or thermal motion is included.

Cell and atoms:
abc: 7.0356 2.7290 9.0150
angles: 90.00 95.75 90.00
Space group Pm (No. 6)
Inequivalent atoms, fractional coordinates:
Li 0.0000 0.0000 0.0000 x1
Li 0.0311 0.5000 0.3189 x1
Li 0.5050 0.0000 0.0640 x1
B 0.2472 0.5000 0.1315 x1
B 0.2736 0.0000 0.8723 x1
B 0.3735 0.0000 0.3755 x1
B 0.3830 0.5000 0.6377 x1
B 0.6177 0.0000 0.6811 x1
B 0.7006 0.5000 0.4254 x1
B 0.7231 0.5000 0.9322 x1
B 0.7940 0.0000 0.1915 x1
C 0.2493 0.5000 0.9580 x1
C 0.2610 0.0000 0.2207 x1
C 0.3478 0.0000 0.7144 x1
C 0.4330 0.5000 0.4569 x1
C 0.6082 0.5000 0.5839 x1
C 0.6895 0.0000 0.8485 x1
C 0.7552 0.0000 0.3580 x1
C 0.7845 0.5000 0.1042 x1

Most intense lines, 15 to 90 degrees two-theta, low angle first:
2theta  Rel. int.  index
15.3  535  1 0 -1
16.8  1000  1 0 1
25.4  725  2 0 0
26.4  384  2 0 -1
38.6  379  0 1 2
40.2  151  0 0 4
40.9  142  3 0 1
43.9  130  2 1 1
45.6  171  2 1 -2
72.0  174  0 1 6